The following is a computed X-ray powder pattern of Li3Sm. It was derived from a DFT-relaxed cell (PBE, the Materials Project), using Cu Kα (weighted mean of Kα1 and Kα2).
Neutral-atom scattering factors, no anomalous dispersion.

Cell and atoms:
Cell lengths 6.6748, 6.6748, 5.0781 Å; angles 90.00, 90.00, 120.00 degrees
Space group P6_3/mmc (No. 194)
Asymmetric unit:
1 Li 0.1485 0.2969 0.2500
2 Sm 0.3333 0.6667 0.7500

Peak list (6 most intense, 2θ = 10–90°, in order of falling intensity)
- 23.32 deg, I 100, hkl 1 0 1
- 26.71 deg, I 47, hkl 1 1 0
- 35.75 deg, I 42, hkl 2 0 1
- 15.33 deg, I 40, hkl 1 0 0
- 45.18 deg, I 33, hkl 2 1 1
- 44.85 deg, I 23, hkl 1 1 2

=====

The following is a computed X-ray powder pattern of LiSm3. It was derived from a DFT-relaxed cell (PBE, the Materials Project), using Cu Kα (weighted mean of Kα1 and Kα2).
Neutral-atom scattering factors, no anomalous dispersion.

Cell and atoms:
Cell lengths 4.9601, 4.9601, 4.9601 Å; angles 90.00, 90.00, 90.00 degrees
Space group Pm-3m (No. 221)
Asymmetric unit:
1 Li 0.0000 0.0000 0.0000
2 Sm 0.0000 0.5000 0.5000

Peak list (6 most intense, 2θ = 10–90°, in order of falling intensity)
- 31.23 deg, I 100, hkl 1 1 1
- 36.22 deg, I 50, hkl 2 0 0
- 62.06 deg, I 42, hkl 3 1 1
- 52.16 deg, I 36, hkl 2 2 0
- 17.88 deg, I 30, hkl 1 0 0
- 25.39 deg, I 26, hkl 1 1 0

=====

The following is a computed X-ray powder pattern of Li3Sm. It was derived from a DFT-relaxed cell (PBE, the Materials Project), using Cu Kα (weighted mean of Kα1 and Kα2).
Neutral-atom scattering factors, no anomalous dispersion.

Cell and atoms:
Cell lengths 7.2606, 7.2606, 7.2606 Å; angles 90.00, 90.00, 90.00 degrees
Space group Fm-3m (No. 225)
Asymmetric unit:
1 Li 0.0000 0.0000 0.0000
2 Li 0.2500 0.2500 0.2500
3 Sm 0.0000 0.0000 0.5000

Peak list (6 most intense, 2θ = 10–90°, in order of falling intensity)
- 21.19 deg, I 100, hkl 1 1 1
- 34.95 deg, I 55, hkl 2 2 0
- 41.24 deg, I 54, hkl 3 1 1
- 24.52 deg, I 53, hkl 2 0 0
- 55.14 deg, I 23, hkl 3 3 1
- 56.70 deg, I 21, hkl 4 2 0